The following is a calculated powder X-ray diffraction pattern of Sm4Ho2Th. It was derived from a DFT-relaxed cell (PBE, Alexandria), using Cu Kα.
Lines closer than 0.1° are merged.

Main lines, by intensity (5 to 70 degrees two-theta):
| index | 2theta | intensity |
| --- | --- | --- |
| 1 1 3 | 32.2 | 100 |
| 1 1 -4 | 32.9 | 90 |
| 0 0 7 | 30.7 | 52 |
| 0 2 0 | 50.6 | 39 |
| 2 0 -1 | 28.6 | 39 |
| 3 1 -8 | 60.3 | 31 |
| 2 0 6 | 41.3 | 16 |
| 4 0 2 | 61.2 | 16 |
| 3 1 6 | 60.4 | 16 |
| 1 1 10 | 55.0 | 15 |

Atomic structure:
```
data_Sm4Ho2Th
_cell_length_a 6.2524
_cell_length_b 3.6095
_cell_length_c 20.5177
_cell_angle_alpha 90.00
_cell_angle_beta 95.98
_cell_angle_gamma 90.00
_symmetry_space_group_name_H-M 'C 1 m 1'
_symmetry_Int_Tables_number 8
loop_
_symmetry_equiv_pos_as_xyz
'x,y,z'
'x,-y,z'
'x+1/2,y+1/2,z'
'x+1/2,-y+1/2,z'
loop_
_atom_site_label
_atom_site_fract_x
_atom_site_fract_y
_atom_site_fract_z
Sm1 0.0000 0.0000 0.0000
Sm2 0.0182 0.5000 0.5648
Sm3 0.0902 0.0000 0.2810
Sm4 0.1142 0.5000 0.8526
Ho1 0.2109 0.5000 0.1401
Ho2 0.3006 0.5000 0.4226
Th1 0.4002 0.5000 0.7093
```